Theoretical X-ray diffraction stick pattern of Ca3U3PaN8 for Cu Kα, 1.54184 Å, from a crystal structure in Alexandria, relaxed with GGA-PBE.
Kinematic intensities with the Lorentz-polarization factor, no thermal factor.

Main lines, by angle (2θ = 10–80°):
2θ 15.52, I 100; 2θ 29.76, I 58; 2θ 31.14, I 75; 2θ 31.34, I 26; 2θ 36.17, I 76; 2θ 51.95, I 27

abc: 7.008 7.008 7.008
angles: 60.31 60.31 60.31
Sites, in units of the cell vectors:
Ca  0.000  0.500  0.500
Ca  0.500  0.000  0.500
Ca  0.500  0.500  0.000
U  0.000  0.000  0.500
U  0.000  0.500  0.000
U  0.500  0.000  0.000
Pa  0.500  0.500  0.500
N  0.234  0.728  0.728
N  0.242  0.242  0.242
N  0.272  0.272  0.766
N  0.272  0.766  0.272
N  0.728  0.234  0.728
N  0.728  0.728  0.234
N  0.758  0.758  0.758
N  0.766  0.272  0.272

---

Theoretical X-ray diffraction stick pattern of Tb2HoRu2 for Cu Kα, 1.54184 Å, from a crystal structure in Alexandria, relaxed with GGA-PBE.
Kinematic intensities with the Lorentz-polarization factor, no thermal factor.

Main lines, by angle (2θ = 10–80°):
2θ 31.57, I 54; 2θ 31.87, I 45; 2θ 33.17, I 71; 2θ 36.85, I 100; 2θ 42.61, I 41; 2θ 53.98, I 46

abc: 6.005 6.005 9.847
angles: 90.00 90.00 138.62
Sites, in units of the cell vectors:
Tb  0.094  0.906  0.500
Tb  0.354  0.646  0.686
Tb  0.646  0.354  0.186
Tb  0.906  0.094  0.000
Ho  0.354  0.646  0.314
Ho  0.646  0.354  0.814
Ru  0.001  0.999  0.751
Ru  0.192  0.808  0.999
Ru  0.808  0.192  0.499
Ru  0.999  0.001  0.251

---

Theoretical X-ray diffraction stick pattern of CdH2Rh2 for Cu Kα, 1.54184 Å, from a crystal structure in Alexandria, relaxed with GGA-PBE.
Kinematic intensities with the Lorentz-polarization factor, no thermal factor.

Main lines, by angle (2θ = 10–80°):
2θ 36.58, I 52; 2θ 37.08, I 100; 2θ 39.69, I 83; 2θ 45.63, I 56; 2θ 59.85, I 24; 2θ 64.19, I 19

abc: 6.529 5.540 5.006
angles: 76.32 55.53 48.15
Sites, in units of the cell vectors:
Cd  0.125  0.125  0.125
Cd  0.875  0.875  0.875
H  0.246  0.246  0.504
H  0.496  0.496  0.754
H  0.504  0.504  0.246
H  0.754  0.754  0.496
Rh  0.209  0.541  0.209
Rh  0.459  0.791  0.459
Rh  0.541  0.209  0.541
Rh  0.791  0.459  0.791

---

Theoretical X-ray diffraction stick pattern of SrSiTeO6 for Cu Kα, 1.54184 Å, from a crystal structure in Alexandria, relaxed with GGA-PBE.
Kinematic intensities with the Lorentz-polarization factor, no thermal factor.

Main lines, by angle (2θ = 10–80°):
2θ 16.17, I 20; 2θ 22.02, I 29; 2θ 26.19, I 100; 2θ 35.82, I 29; 2θ 49.27, I 45; 2θ 58.74, I 19

abc: 5.013 5.013 10.961
angles: 90.00 90.00 120.00
Sites, in units of the cell vectors:
Sr  0.000  0.000  0.000
Sr  0.000  0.000  0.500
Si  0.333  0.667  0.250
Si  0.667  0.333  0.750
Te  0.333  0.667  0.750
Te  0.667  0.333  0.250
O  0.020  0.393  0.153
O  0.020  0.627  0.347
O  0.373  0.393  0.347
O  0.373  0.980  0.153
O  0.393  0.020  0.653
O  0.393  0.373  0.847
O  0.607  0.627  0.153
O  0.607  0.980  0.347
O  0.627  0.020  0.847
O  0.627  0.607  0.653
O  0.980  0.373  0.653
O  0.980  0.607  0.847